No. 1
Ho2Al5Pd4: theoretical XRD peak list (Cu Ka), based on a structure optimized by DFT (GGA-PBE).

Structure:
```
data_Ho2Al5Pd4
_symmetry_space_group_name_H-M 'F m m m'
_symmetry_Int_Tables_number 69
_symmetry_space_group_name_Hall '-F 2 2'
_cell_length_a 5.399
_cell_length_b 9.212
_cell_length_c 16.322
_cell_angle_alpha 90.00
_cell_angle_beta 90.00
_cell_angle_gamma 90.00
loop_
_atom_site_label
_atom_site_type_symbol
_atom_site_fract_x
_atom_site_fract_y
_atom_site_fract_z
Ho1 Ho 0.000 0.000 0.124
Al1 Al 0.000 0.000 0.500
Al2 Al 0.250 0.250 0.000
Al3 Al 0.250 0.250 0.250
Pd1 Pd 0.000 0.162 0.370
```

Most intense lines, 10 to 90 degrees two-theta, low angle first:
- (0 0 4), 2θ = 21.8°, rel. 100
- (2 0 0), 2θ = 33.2°, rel. 41
- (1 3 1), 2θ = 34.0°, rel. 84
- (1 3 3), 2θ = 37.5°, rel. 89
- (2 0 4), 2θ = 40.1°, rel. 75
- (1 3 5), 2θ = 43.8°, rel. 45


No. 2
Na2Li5Bi2: theoretical XRD peak list (Cu Ka), based on a structure optimized by DFT (GGA-PBE).

Structure:
```
data_Na2Li5Bi2
_symmetry_space_group_name_H-M 'C 1 2 1'
_symmetry_Int_Tables_number 5
_symmetry_space_group_name_Hall 'C 2y'
_cell_length_a 6.494
_cell_length_b 8.112
_cell_length_c 9.256
_cell_angle_alpha 90.00
_cell_angle_beta 91.15
_cell_angle_gamma 90.00
loop_
_atom_site_label
_atom_site_type_symbol
_atom_site_fract_x
_atom_site_fract_y
_atom_site_fract_z
Na1 Na 0.000 0.000 0.000
Na2 Na 0.000 0.084 0.500
Li1 Li 0.000 0.606 0.500
Li2 Li 0.194 0.368 0.288
Li3 Li 0.224 0.825 0.285
Bi1 Bi 0.079 0.608 0.814
```

Most intense lines, 10 to 90 degrees two-theta, low angle first:
- (1 1 0), 2θ = 17.5°, rel. 100
- (1 1 1), 2θ = 20.1°, rel. 71
- (0 2 0), 2θ = 21.9°, rel. 52
- (1 1 -2), 2θ = 25.9°, rel. 73
- (2 0 1), 2θ = 29.3°, rel. 38
- (0 2 3), 2θ = 36.6°, rel. 40